The following is a calculated powder XRD pattern of CeErS3. It was derived from a PBE-relaxed structure, using Cu Ka.
No peak broadening, texture or thermal motion is included.

Top 10 peaks for 10 to 90 degrees two-theta, sorted by position:
2θ (°)  I (rel.)
24.6  36
25.0  100
25.2  58
28.1  38
30.2  25
35.8  58
41.0  23
44.4  29
45.9  31
53.0  26

Cell and atoms:
Lattice parameters (Å, degrees): 16.4659 3.9523 21.1686 90.00 90.00 90.00
Element x y z (fractional)
Ce 0.1636 0.2500 0.2453
Ce 0.1702 0.7500 0.5871
Ce 0.1957 0.2500 0.9219
Ce 0.3043 0.7500 0.4219
Ce 0.3298 0.2500 0.0871
Ce 0.3364 0.7500 0.7453
Ce 0.6636 0.2500 0.2547
Ce 0.6702 0.7500 0.9129
Ce 0.6957 0.2500 0.5781
Ce 0.8043 0.7500 0.0781
Ce 0.8298 0.2500 0.4129
Ce 0.8364 0.7500 0.7547
Er 0.0558 0.7500 0.0699
Er 0.0661 0.2500 0.4209
Er 0.0952 0.2500 0.7515
Er 0.4048 0.7500 0.2515
Er 0.4339 0.7500 0.9209
Er 0.4442 0.2500 0.5699
Er 0.5558 0.7500 0.4301
Er 0.5661 0.2500 0.0791
Er 0.5952 0.2500 0.7485
Er 0.9048 0.7500 0.2485
Er 0.9339 0.7500 0.5791
Er 0.9442 0.2500 0.9301
S 0.0383 0.7500 0.6818
S 0.0453 0.2500 0.5527
S 0.0552 0.7500 0.1954
S 0.0613 0.7500 0.9408
S 0.1470 0.7500 0.3509
S 0.1600 0.2500 0.0644
S 0.1798 0.7500 0.8174
S 0.2105 0.2500 0.4840
S 0.2293 0.2500 0.6780
S 0.2707 0.7500 0.1780
S 0.2895 0.7500 0.9840
S 0.3202 0.2500 0.3174
S 0.3400 0.7500 0.5644
S 0.3530 0.2500 0.8509
S 0.4387 0.2500 0.4408
S 0.4448 0.2500 0.6954
S 0.4547 0.7500 0.0527
S 0.4617 0.2500 0.1818
S 0.5383 0.7500 0.8182
S 0.5453 0.2500 0.9473
S 0.5552 0.7500 0.3046
S 0.5613 0.7500 0.5592
S 0.6470 0.7500 0.1491
S 0.6600 0.2500 0.4356
S 0.6798 0.7500 0.6826
S 0.7105 0.2500 0.0160
S 0.7293 0.2500 0.8220
S 0.7707 0.7500 0.3220
S 0.7895 0.7500 0.5160
S 0.8202 0.2500 0.1826
S 0.8400 0.7500 0.9356
S 0.8530 0.2500 0.6491
S 0.9387 0.2500 0.0592
S 0.9448 0.2500 0.8046
S 0.9547 0.7500 0.4473
S 0.9617 0.2500 0.3182

---

The following is a calculated powder XRD pattern of CeEr4S7. It was derived from a PBE-relaxed structure, using Cu Ka.
No peak broadening, texture or thermal motion is included.

Top 10 peaks for 10 to 90 degrees two-theta, sorted by position:
2θ (°)  I (rel.)
23.8  100
24.4  83
26.3  34
27.6  44
31.5  38
33.1  51
34.2  44
39.0  29
42.0  33
47.2  37

Cell and atoms:
Lattice parameters (Å, degrees): 6.7424 6.7424 11.6398 104.03 104.03 32.74
Element x y z (fractional)
Ce 0.0000 0.0000 0.0000
Er 0.1877 0.1877 0.7656
Er 0.5867 0.5867 0.3926
Er 0.7742 0.7742 0.1603
Er 0.8875 0.8875 0.5775
S 0.1508 0.1508 0.2329
S 0.2284 0.2284 0.5284
S 0.3821 0.3821 0.0834
S 0.5454 0.5454 0.6296
S 0.6352 0.6352 0.9286
S 0.8417 0.8417 0.7880
S 0.9304 0.9304 0.3646

---

The following is a calculated powder XRD pattern of Ce3Eu. It was derived from a PBE-relaxed structure, using Cu Ka.
No peak broadening, texture or thermal motion is included.

Top 10 peaks for 10 to 90 degrees two-theta, sorted by position:
2θ (°)  I (rel.)
32.0  100
36.7  17
37.3  33
53.3  24
53.7  11
63.1  14
63.9  27
66.8  12
87.5  12
88.2  6

Cell and atoms:
Lattice parameters (Å, degrees): 5.9721 5.9721 5.9721 132.34 132.34 69.69
Element x y z (fractional)
Ce 0.0000 0.0000 0.0000
Ce 0.2500 0.7500 0.5000
Ce 0.7500 0.2500 0.5000
Eu 0.5000 0.5000 0.0000

---

The following is a calculated powder XRD pattern of CeEu3. It was derived from a PBE-relaxed structure, using Cu Ka.
No peak broadening, texture or thermal motion is included.

Top 10 peaks for 10 to 90 degrees two-theta, sorted by position:
2θ (°)  I (rel.)
26.5  23
28.3  26
30.1  100
39.2  16
46.8  20
51.2  23
55.6  24
56.7  17
76.5  14
78.1  9

Cell and atoms:
Lattice parameters (Å, degrees): 7.7616 7.7616 6.3086 90.00 90.00 120.00
Element x y z (fractional)
Ce 0.3333 0.6667 0.2500
Ce 0.6667 0.3333 0.7500
Eu 0.1700 0.3399 0.7500
Eu 0.1700 0.8300 0.7500
Eu 0.3399 0.1700 0.2500
Eu 0.6601 0.8300 0.7500
Eu 0.8300 0.1700 0.2500
Eu 0.8300 0.6601 0.2500

---

The following is a calculated powder XRD pattern of CeF3. It was derived from a PBE-relaxed structure, using Cu Ka.
No peak broadening, texture or thermal motion is included.

Top 10 peaks for 10 to 90 degrees two-theta, sorted by position:
2θ (°)  I (rel.)
24.8  31
25.0  32
27.8  100
43.7  53
45.9  56
51.0  28
52.6  18
65.2  18
70.7  15
81.8  18

Cell and atoms:
Lattice parameters (Å, degrees): 7.1779 7.1779 7.1108 90.00 90.00 120.00
Element x y z (fractional)
Ce 0.0000 0.3262 0.0000
Ce 0.0000 0.6738 0.5000
Ce 0.3262 0.0000 0.0000
Ce 0.3262 0.3262 0.5000
Ce 0.6738 0.0000 0.5000
Ce 0.6738 0.6738 0.0000
F 0.0000 0.0000 0.2500
F 0.0000 0.0000 0.7500
F 0.0053 0.3462 0.3328
F 0.0053 0.6591 0.1672
F 0.3333 0.6667 0.5124
F 0.3333 0.6667 0.9876
F 0.3409 0.3462 0.1672
F 0.3409 0.9947 0.3328
F 0.3462 0.0053 0.6672
F 0.3462 0.3409 0.8328
F 0.6538 0.6591 0.3328
F 0.6538 0.9947 0.1672
F 0.6591 0.0053 0.8328
F 0.6591 0.6538 0.6672
F 0.6667 0.3333 0.0124
F 0.6667 0.3333 0.4876
F 0.9947 0.3409 0.6672
F 0.9947 0.6538 0.8328

---

The following is a calculated powder XRD pattern of CeF3. It was derived from a PBE-relaxed structure, using Cu Ka.
No peak broadening, texture or thermal motion is included.

Top 10 peaks for 10 to 90 degrees two-theta, sorted by position:
2θ (°)  I (rel.)
24.3  37
24.8  27
27.7  100
43.7  44
44.9  54
50.6  33
52.5  19
64.4  15
70.6  16
81.1  14

Cell and atoms:
Lattice parameters (Å, degrees): 7.1811 7.1811 7.3259 90.00 90.00 120.00
Element x y z (fractional)
Ce 0.0000 0.3419 0.2500
Ce 0.0000 0.6581 0.7500
Ce 0.3419 0.0000 0.2500
Ce 0.3419 0.3419 0.7500
Ce 0.6581 0.0000 0.7500
Ce 0.6581 0.6581 0.2500
F 0.0000 0.0000 0.2500
F 0.0000 0.0000 0.7500
F 0.0588 0.3685 0.9206
F 0.0588 0.6902 0.4206
F 0.3098 0.3685 0.4206
F 0.3098 0.9412 0.9206
F 0.3333 0.6667 0.1874
F 0.3333 0.6667 0.6874
F 0.3685 0.0588 0.5794
F 0.3685 0.3098 0.0794
F 0.6315 0.6902 0.9206
F 0.6315 0.9412 0.4206
F 0.6667 0.3333 0.3126
F 0.6667 0.3333 0.8126
F 0.6902 0.0588 0.0794
F 0.6902 0.6315 0.5794
F 0.9412 0.3098 0.5794
F 0.9412 0.6315 0.0794